# 1
AcLa5DyY2: simulated powder XRD pattern (Cu Kα), based on a DFT-relaxed cell (PBE, Alexandria).
Peak positions follow from Bragg's law for the DFT cell and can differ from measured ones.

Top 10 peaks for 10 to 90 degrees two-theta, by angle:
d [Å]  I_rel  hkl
3.393  60  2 2 0
3.211  37  2 1 3
3.035  18  3 1 0
2.896  100  2 0 4
2.618  13  3 2 1
2.299  15  4 1 1
2.098  10  4 1 3
1.848  22  4 2 4
1.816  12  0 0 8
1.601  18  2 2 8

Cell and atoms:
```
data_AcLa5DyY2
_cell_length_a 9.5982
_cell_length_b 9.5982
_cell_length_c 14.5271
_cell_angle_alpha 90.00
_cell_angle_beta 90.00
_cell_angle_gamma 90.00
_space_group_name_H-M_alt 'I 4/m c m'
_space_group_IT_number 140
_space_group_name_Hall '-I 4 2c'
loop_
_atom_site_label
_atom_site_fract_x
_atom_site_fract_y
_atom_site_fract_z
_atom_site_occupancy
Ac1 0.0000 0.0000 0.2500 1
La1 0.0000 0.0000 0.0000 1
La2 0.2003 0.2997 0.1328 1
Dy1 0.0000 0.5000 0.2500 1
Y1 0.1089 0.3911 0.5000 1
```



# 2
AcLaDy3Y: simulated powder XRD pattern (Cu Kα), based on a DFT-relaxed cell (PBE, Alexandria).
Peak positions follow from Bragg's law for the DFT cell and can differ from measured ones.

Top 10 peaks for 10 to 90 degrees two-theta, by angle:
d [Å]  I_rel  hkl
3.119  18  1 1 2
3.034  24  4 0 -2
2.992  66  5 1 -1
2.945  32  5 1 1
2.876  100  0 2 0
2.825  63  3 1 2
2.503  29  7 1 0
1.901  18  0 0 4
1.660  18  11 1 -1
1.652  21  3 3 2

Cell and atoms:
```
data_AcLaDy3Y
_cell_length_a 19.4692
_cell_length_b 5.7547
_cell_length_c 7.6045
_cell_angle_alpha 90.00
_cell_angle_beta 91.50
_cell_angle_gamma 90.00
_space_group_name_H-M_alt 'C 1 2/m 1'
_space_group_IT_number 12
loop_
_space_group_symop_operation_xyz
'x,y,z'
'-x,-y,-z'
'-x,y,-z'
'x,-y,z'
'x+1/2,y+1/2,z'
'-x+1/2,-y+1/2,-z'
'-x+1/2,y+1/2,-z'
'x+1/2,-y+1/2,z'
loop_
_atom_site_label
_atom_site_fract_x
_atom_site_fract_y
_atom_site_fract_z
_atom_site_occupancy
Ac1 0.1416 0.0000 0.0246 1
La1 0.0446 0.5000 0.2765 1
Dy1 0.0241 0.0000 0.7065 1
Dy2 0.1671 0.5000 0.7204 1
Dy3 0.2184 0.5000 0.2427 1
Y1 0.1545 0.0000 0.4557 1
```



What is the formula in the second record? AcLaDy3Y